Diffraction record for LaCo4B. The PXRD pattern is theoretical, not measured: it uses a cell relaxed with PBE and a wavelength of 1.5418 Å.
Peak positions follow from Bragg's law for the DFT cell and can differ from measured ones.

Crystal structure
a = 5.1354 Å, b = 5.1354 Å, c = 6.8293 Å
α = 90.00°, β = 90.00°, γ = 120.00°
Positions (direct):
1 La 0.0000 0.0000 0.0000
2 La 0.0000 0.0000 0.5000
3 Co 0.0000 0.5000 0.2094
4 Co 0.0000 0.5000 0.7906
5 Co 0.3333 0.6667 0.5000
6 Co 0.5000 0.0000 0.2094
7 Co 0.5000 0.0000 0.7906
8 Co 0.5000 0.5000 0.2094
9 Co 0.5000 0.5000 0.7906
10 Co 0.6667 0.3333 0.5000
11 B 0.3333 0.6667 0.0000
12 B 0.6667 0.3333 0.0000

Peak list (6 most intense, 10° ≤ 2θ ≤ 90°, by angle)
2θ = 33.1°, d = 2.708 Å, I 81, (1 0 2); 2θ = 34.9°, d = 2.568 Å, I 30, (1 1 0); 2θ = 40.6°, d = 2.224 Å, I 78, (2 0 0); 2θ = 44.1°, d = 2.052 Å, I 100, (1 1 2); 2θ = 61.5°, d = 1.508 Å, I 27, (2 1 2); 2θ = 69.1°, d = 1.360 Å, I 25, (3 0 2)